Starting from a cell relaxed with PBE, the PXRD pattern of Li2NpBeO4 was simulated for Cu Kα.
Intensities are scaled so that the largest is 100.

Top 12 peaks for 2θ from 10° to 90°, sorted by position:
| two_theta | I/Imax |
| --- | --- |
| 22.28 | 100.0 |
| 25.02 | 38.3 |
| 27.23 | 12.2 |
| 35.68 | 11.0 |
| 37.31 | 36.1 |
| 42.47 | 41.8 |
| 45.27 | 17.8 |
| 45.46 | 19.7 |
| 51.35 | 9.9 |
| 56.64 | 9.5 |
| 58.94 | 14.9 |
| 65.17 | 14.1 |

Structural model:
```
Li2NpBeO4
1.0
-2.516 2.516 3.275
2.516 -2.516 3.275
2.516 2.516 -3.275
Li Np Be O
2 1 1 4
direct
0.000 0.000 0.000
0.750 0.250 0.500
0.500 0.500 0.000
0.250 0.750 0.500
0.105 0.640 0.057
0.360 0.417 0.464
0.583 0.047 0.943
0.953 0.895 0.536
```

Starting from a cell relaxed with PBE, the PXRD pattern of Li2Be2O3 was simulated for Cu Kα.
Intensities are scaled so that the largest is 100.

Top 12 peaks for 2θ from 10° to 90°, sorted by position:
| two_theta | I/Imax |
| --- | --- |
| 18.53 | 48.5 |
| 28.61 | 21.7 |
| 29.65 | 17.1 |
| 34.93 | 52.5 |
| 37.35 | 44.0 |
| 37.56 | 61.7 |
| 39.71 | 100.0 |
| 42.22 | 50.2 |
| 52.41 | 21.6 |
| 52.77 | 27.5 |
| 53.65 | 16.4 |
| 65.81 | 40.3 |

Structural model:
```
Li2Be2O3
1.0
5.334 -4.556 0.000
5.334 4.556 0.000
-2.120 0.000 4.324
Li Be O
8 8 12
direct
0.076 0.924 0.750
0.216 0.784 0.250
0.324 0.500 0.381
0.500 0.324 0.881
0.500 0.676 0.119
0.676 0.500 0.619
0.784 0.216 0.750
0.924 0.076 0.250
0.055 0.582 0.741
0.135 0.285 0.796
0.285 0.135 0.296
0.418 0.945 0.759
0.582 0.055 0.241
0.715 0.865 0.704
0.865 0.715 0.204
0.945 0.418 0.259
0.070 0.637 0.443
0.074 0.228 0.069
0.228 0.074 0.569
0.261 0.493 0.942
0.363 0.930 0.057
0.493 0.261 0.442
0.507 0.739 0.558
0.637 0.070 0.943
0.739 0.507 0.058
0.772 0.926 0.431
0.926 0.772 0.931
0.930 0.363 0.557
```

Starting from a cell relaxed with PBE, the PXRD pattern of Li4BeO3 was simulated for Cu Kα.
Intensities are scaled so that the largest is 100.

Top 12 peaks for 2θ from 10° to 90°, sorted by position:
| two_theta | I/Imax |
| --- | --- |
| 27.90 | 55.5 |
| 28.61 | 23.3 |
| 32.40 | 100.0 |
| 35.72 | 92.1 |
| 37.51 | 21.0 |
| 42.99 | 14.5 |
| 44.90 | 13.6 |
| 47.39 | 12.3 |
| 55.83 | 28.2 |
| 57.04 | 14.7 |
| 58.47 | 25.1 |
| 68.62 | 13.8 |

Structural model:
```
Li4BeO3
1.0
4.800 -2.398 0.000
4.800 2.398 0.000
-2.615 0.000 6.240
Li Be O
8 2 6
direct
0.148 0.852 0.500
0.186 0.645 0.784
0.426 0.753 0.181
0.588 0.982 0.541
0.645 0.186 0.284
0.753 0.426 0.681
0.852 0.148 0.000
0.982 0.588 0.041
0.088 0.413 0.380
0.413 0.088 0.880
0.080 0.112 0.326
0.112 0.080 0.826
0.392 0.411 0.523
0.411 0.392 0.023
0.732 0.814 0.801
0.814 0.732 0.301
```

Starting from a cell relaxed with PBE, the PXRD pattern of LiBePO4 was simulated for Cu Kα.
Intensities are scaled so that the largest is 100.

Top 12 peaks for 2θ from 10° to 90°, sorted by position:
| two_theta | I/Imax |
| --- | --- |
| 23.44 | 100.0 |
| 24.88 | 3.6 |
| 28.20 | 6.7 |
| 37.95 | 52.0 |
| 47.14 | 13.7 |
| 58.31 | 6.0 |
| 60.36 | 12.8 |
| 66.95 | 11.6 |
| 71.70 | 6.3 |
| 75.09 | 4.0 |
| 78.14 | 7.7 |
| 82.91 | 4.6 |

Structural model:
```
LiBePO4
1.0
-2.238 2.238 3.579
2.238 -2.238 3.579
2.238 2.238 -3.579
Li Be P O
1 1 1 4
direct
0.000 0.000 0.000
0.500 0.500 0.000
0.250 0.750 0.500
0.215 0.639 0.106
0.361 0.467 0.576
0.533 0.109 0.894
0.891 0.785 0.424
```

Starting from a cell relaxed with PBE, the PXRD pattern of LiPaBeO4 was simulated for Cu Kα.
Intensities are scaled so that the largest is 100.

Top 12 peaks for 2θ from 10° to 90°, sorted by position:
| two_theta | I/Imax |
| --- | --- |
| 19.44 | 100.0 |
| 22.95 | 35.3 |
| 24.87 | 25.7 |
| 31.74 | 83.9 |
| 34.09 | 15.3 |
| 38.30 | 22.2 |
| 40.67 | 26.9 |
| 46.21 | 24.6 |
| 47.21 | 22.3 |
| 55.11 | 13.8 |
| 56.45 | 13.7 |
| 63.77 | 14.5 |

Structural model:
```
LiPaBeO4
1.0
-2.826 3.580 3.876
2.826 -3.580 3.876
2.826 3.580 -3.876
Li Pa Be O
2 2 2 8
direct
0.500 0.000 0.000
0.500 0.500 0.500
0.000 0.000 0.000
0.500 0.000 0.500
0.133 0.383 0.750
0.867 0.617 0.250
0.192 0.736 0.456
0.219 0.264 0.956
0.260 0.260 0.500
0.260 0.760 0.000
0.740 0.240 0.000
0.740 0.740 0.500
0.781 0.736 0.044
0.808 0.264 0.544
```

Starting from a cell relaxed with PBE, the PXRD pattern of LiPaBe2O6 was simulated for Cu Kα.
Intensities are scaled so that the largest is 100.

Top 12 peaks for 2θ from 10° to 90°, sorted by position:
| two_theta | I/Imax |
| --- | --- |
| 13.69 | 17.6 |
| 19.31 | 63.2 |
| 19.51 | 51.1 |
| 21.13 | 100.0 |
| 24.40 | 79.8 |
| 27.58 | 56.6 |
| 32.61 | 42.1 |
| 35.12 | 23.8 |
| 36.82 | 17.7 |
| 39.11 | 30.4 |
| 42.01 | 18.4 |
| 43.32 | 23.0 |

Structural model:
```
LiPaBe2O6
1.0
4.701 -4.550 0.000
4.701 4.550 0.000
-1.041 0.000 4.882
Li Pa Be O
2 2 4 12
direct
0.074 0.926 0.750
0.926 0.074 0.250
0.287 0.713 0.250
0.713 0.287 0.750
0.210 0.377 0.684
0.377 0.210 0.184
0.623 0.790 0.816
0.790 0.623 0.316
0.015 0.226 0.634
0.146 0.602 0.850
0.226 0.015 0.134
0.295 0.404 0.397
0.398 0.854 0.650
0.404 0.295 0.897
0.596 0.705 0.103
0.602 0.146 0.350
0.705 0.596 0.603
0.774 0.985 0.866
0.854 0.398 0.150
0.985 0.774 0.366
```

Starting from a cell relaxed with PBE, the PXRD pattern of LiPm2Be2O6 was simulated for Cu Kα.
Intensities are scaled so that the largest is 100.

Top 12 peaks for 2θ from 10° to 90°, sorted by position:
| two_theta | I/Imax |
| --- | --- |
| 17.07 | 56.6 |
| 22.67 | 100.0 |
| 30.23 | 22.5 |
| 34.20 | 59.1 |
| 34.92 | 54.1 |
| 38.46 | 35.4 |
| 41.43 | 54.1 |
| 45.37 | 24.9 |
| 46.28 | 23.8 |
| 49.68 | 24.5 |
| 54.77 | 20.1 |
| 61.70 | 21.2 |

Structural model:
```
LiPm2Be2O6
1.0
2.622 1.514 5.194
-2.622 1.514 5.194
0.000 -3.027 5.194
Li Pm Be O
1 2 2 6
direct
0.000 0.000 0.000
0.214 0.214 0.214
0.786 0.786 0.786
0.424 0.424 0.424
0.576 0.576 0.576
0.241 0.743 0.743
0.257 0.257 0.759
0.257 0.759 0.257
0.743 0.241 0.743
0.743 0.743 0.241
0.759 0.257 0.257
```

Starting from a cell relaxed with PBE, the PXRD pattern of Li2BeSbO4 was simulated for Cu Kα.
Intensities are scaled so that the largest is 100.

Top 12 peaks for 2θ from 10° to 90°, sorted by position:
| two_theta | I/Imax |
| --- | --- |
| 21.14 | 20.9 |
| 22.07 | 100.0 |
| 27.49 | 26.8 |
| 34.93 | 52.9 |
| 37.61 | 25.7 |
| 45.01 | 17.6 |
| 45.49 | 30.3 |
| 51.84 | 10.4 |
| 55.50 | 16.2 |
| 56.74 | 9.3 |
| 59.67 | 15.9 |
| 68.39 | 12.6 |

Structural model:
```
Li2BeSbO4
1.0
-2.295 2.295 4.203
2.295 -2.295 4.203
2.295 2.295 -4.203
Li Be Sb O
2 1 1 4
direct
0.000 0.000 0.000
0.750 0.250 0.500
0.250 0.750 0.500
0.500 0.500 0.000
0.141 0.647 0.068
0.353 0.420 0.494
0.580 0.073 0.932
0.927 0.859 0.506
```

Starting from a cell relaxed with PBE, the PXRD pattern of LiSc2Be2O6 was simulated for Cu Kα.
Intensities are scaled so that the largest is 100.

Top 12 peaks for 2θ from 10° to 90°, sorted by position:
| two_theta | I/Imax |
| --- | --- |
| 16.32 | 100.0 |
| 20.11 | 18.5 |
| 29.33 | 31.8 |
| 33.74 | 12.8 |
| 33.85 | 21.8 |
| 37.79 | 36.8 |
| 40.88 | 40.1 |
| 47.99 | 34.4 |
| 48.54 | 11.9 |
| 48.94 | 9.4 |
| 62.11 | 10.5 |
| 71.21 | 13.3 |

Structural model:
```
LiSc2Be2O6
1.0
2.648 1.529 5.431
-2.648 1.529 5.431
0.000 -3.058 5.431
Li Sc Be O
1 2 2 6
direct
0.000 0.000 0.000
0.169 0.169 0.169
0.831 0.831 0.831
0.422 0.422 0.422
0.578 0.578 0.578
0.240 0.740 0.740
0.260 0.260 0.760
0.260 0.760 0.260
0.740 0.240 0.740
0.740 0.740 0.240
0.760 0.260 0.260
```

Starting from a cell relaxed with PBE, the PXRD pattern of LiBeSeO4 was simulated for Cu Kα.
Intensities are scaled so that the largest is 100.

Top 12 peaks for 2θ from 10° to 90°, sorted by position:
| two_theta | I/Imax |
| --- | --- |
| 22.37 | 100.0 |
| 23.82 | 17.5 |
| 26.87 | 24.6 |
| 36.21 | 48.0 |
| 41.02 | 13.4 |
| 44.86 | 23.0 |
| 45.66 | 13.7 |
| 55.38 | 9.3 |
| 57.42 | 14.8 |
| 63.67 | 13.4 |
| 67.97 | 11.2 |
| 73.92 | 8.0 |

Structural model:
```
LiBeSeO4
1.0
-2.346 2.346 3.736
2.346 -2.346 3.736
2.346 2.346 -3.736
Li Be Se O
1 1 1 4
direct
0.000 0.000 0.000
0.250 0.750 0.500
0.500 0.500 0.000
0.189 0.646 0.091
0.354 0.444 0.542
0.556 0.098 0.909
0.902 0.811 0.458
```

Starting from a cell relaxed with PBE, the PXRD pattern of Li2SmBeO4 was simulated for Cu Kα.
Intensities are scaled so that the largest is 100.

Top 12 peaks for 2θ from 10° to 90°, sorted by position:
| two_theta | I/Imax |
| --- | --- |
| 22.67 | 100.0 |
| 24.60 | 61.3 |
| 29.27 | 13.4 |
| 35.06 | 13.7 |
| 38.59 | 46.8 |
| 42.16 | 60.4 |
| 46.30 | 23.1 |
| 48.13 | 22.3 |
| 50.42 | 14.3 |
| 55.96 | 16.1 |
| 60.92 | 14.3 |
| 65.25 | 19.7 |

Structural model:
```
Li2SmBeO4
1.0
-2.559 2.559 3.052
2.559 -2.559 3.052
2.559 2.559 -3.052
Li Sm Be O
2 1 1 4
direct
0.250 0.750 0.500
0.750 0.250 0.500
0.000 0.000 0.000
0.500 0.500 0.000
0.162 0.162 0.615
0.453 0.838 0.000
0.547 0.547 0.385
0.838 0.453 0.000
```

Starting from a cell relaxed with PBE, the PXRD pattern of LiBeOs was simulated for Cu Kα.
Intensities are scaled so that the largest is 100.

Top 12 peaks for 2θ from 10° to 90°, sorted by position:
| two_theta | I/Imax |
| --- | --- |
| 19.75 | 55.0 |
| 22.43 | 100.0 |
| 24.83 | 21.7 |
| 26.04 | 15.5 |
| 28.23 | 29.1 |
| 35.35 | 16.8 |
| 36.98 | 19.2 |
| 37.21 | 25.7 |
| 40.49 | 51.6 |
| 41.49 | 24.2 |
| 44.84 | 37.3 |
| 47.92 | 45.7 |

Structural model:
```
LiBeOs
1.0
2.667 -4.353 0.000
2.667 4.353 0.000
-1.158 0.000 6.323
Li Be Os
4 4 4
direct
0.129 0.871 0.500
0.590 0.850 0.667
0.850 0.590 0.167
0.871 0.129 0.000
0.000 0.722 0.834
0.252 0.467 0.333
0.467 0.252 0.833
0.722 0.000 0.334
0.092 0.356 0.646
0.356 0.092 0.146
0.366 0.628 0.022
0.628 0.366 0.522
```